(1)
Starting from a PBE-relaxed structure, the PXRD pattern of Mg7TlCd2 was calculated for CuKα.

Cell and atoms:
```
Mg7TlCd2
1.0
6.702 -4.172 0.000
6.702 4.172 0.000
-5.919 0.000 8.177
Mg Tl Cd
14 2 4
direct
0.057 0.652 0.184
0.121 0.879 0.750
0.148 0.429 0.417
0.243 0.604 0.942
0.348 0.943 0.316
0.396 0.757 0.558
0.429 0.148 0.917
0.571 0.852 0.083
0.604 0.243 0.442
0.652 0.057 0.684
0.757 0.396 0.058
0.852 0.571 0.583
0.879 0.121 0.250
0.943 0.348 0.816
0.491 0.509 0.750
0.509 0.491 0.250
0.169 0.184 0.592
0.184 0.169 0.092
0.816 0.831 0.908
0.831 0.816 0.408
```

Most intense lines, 10° ≤ 2θ ≤ 90°, low angle first:
- 21.1 deg, d = 4.216 Å, rel. 100.0
- 21.3 deg, d = 4.172 Å, rel. 48.9
- 26.7 deg, d = 3.336 Å, rel. 40.3
- 26.9 deg, d = 3.320 Å, rel. 77.4
- 34.4 deg, d = 2.607 Å, rel. 83.1
- 36.8 deg, d = 2.443 Å, rel. 37.0
- 37.2 deg, d = 2.417 Å, rel. 67.8
- 40.5 deg, d = 2.228 Å, rel. 30.1
- 40.8 deg, d = 2.214 Å, rel. 31.6
- 40.9 deg, d = 2.205 Å, rel. 28.1

(2)
Starting from a PBE-relaxed structure, the PXRD pattern of LiNi4Ir2 was calculated for CuKα.

Cell and atoms:
```
LiNi4Ir2
1.0
0.000 4.132 4.484
2.506 0.000 4.484
2.506 4.132 0.000
Li Ni Ir
1 4 2
direct
0.000 0.000 0.000
0.399 0.886 0.114
0.492 0.998 0.508
0.886 0.399 0.601
0.998 0.492 0.002
0.397 0.397 0.103
0.897 0.897 0.603
```

Most intense lines, 10° ≤ 2θ ≤ 90°, low angle first:
- 19.8 deg, d = 4.484 Å, rel. 39.3
- 21.5 deg, d = 4.132 Å, rel. 84.2
- 29.4 deg, d = 3.038 Å, rel. 56.3
- 35.8 deg, d = 2.506 Å, rel. 23.4
- 40.2 deg, d = 2.242 Å, rel. 20.4
- 41.3 deg, d = 2.188 Å, rel. 53.2
- 43.8 deg, d = 2.066 Å, rel. 39.5
- 46.1 deg, d = 1.970 Å, rel. 63.9
- 47.0 deg, d = 1.934 Å, rel. 100.0
- 61.8 deg, d = 1.502 Å, rel. 31.9

(3)
Starting from a PBE-relaxed structure, the PXRD pattern of Dy3CoTe was calculated for CuKα.

Cell and atoms:
```
Dy3CoTe
1.0
2.018 -7.975 0.000
2.018 7.975 0.000
0.000 0.000 8.384
Dy Co Te
6 2 2
direct
0.073 0.927 0.500
0.228 0.772 0.079
0.394 0.606 0.332
0.606 0.394 0.832
0.772 0.228 0.579
0.927 0.073 0.000
0.188 0.812 0.723
0.812 0.188 0.223
0.424 0.576 0.697
0.576 0.424 0.197
```

Most intense lines, 10° ≤ 2θ ≤ 90°, low angle first:
- 29.8 deg, d = 3.002 Å, rel. 100.0
- 31.0 deg, d = 2.889 Å, rel. 18.4
- 31.3 deg, d = 2.861 Å, rel. 47.9
- 33.7 deg, d = 2.658 Å, rel. 22.0
- 34.0 deg, d = 2.637 Å, rel. 26.7
- 35.9 deg, d = 2.503 Å, rel. 18.1
- 39.4 deg, d = 2.288 Å, rel. 26.0
- 39.6 deg, d = 2.274 Å, rel. 20.7
- 44.9 deg, d = 2.018 Å, rel. 23.0
- 61.2 deg, d = 1.514 Å, rel. 20.8

(4)
Starting from a PBE-relaxed structure, the PXRD pattern of Ac2Pb3 was calculated for CuKα.

Cell and atoms:
```
Ac2Pb3
1.0
8.582 0.000 0.000
0.000 8.582 0.000
0.000 0.000 4.876
Ac Pb
4 6
direct
0.176 0.324 0.000
0.324 0.824 0.000
0.676 0.176 0.000
0.824 0.676 0.000
0.000 0.000 0.500
0.127 0.627 0.500
0.373 0.127 0.500
0.500 0.500 0.500
0.627 0.873 0.500
0.873 0.373 0.500
```

Most intense lines, 10° ≤ 2θ ≤ 90°, low angle first:
- 27.7 deg, d = 3.221 Å, rel. 33.5
- 29.4 deg, d = 3.034 Å, rel. 9.0
- 29.6 deg, d = 3.016 Å, rel. 100.0
- 33.0 deg, d = 2.714 Å, rel. 37.9
- 36.9 deg, d = 2.438 Å, rel. 21.3
- 47.5 deg, d = 1.914 Å, rel. 11.7
- 50.3 deg, d = 1.814 Å, rel. 23.8
- 58.0 deg, d = 1.591 Å, rel. 12.3
- 61.2 deg, d = 1.515 Å, rel. 10.9
- 62.0 deg, d = 1.497 Å, rel. 12.9

(5)
Starting from a PBE-relaxed structure, the PXRD pattern of CsTbMg2Cl8 was calculated for CuKα.

Cell and atoms:
```
CsTbMg2Cl8
1.0
6.649 0.000 0.000
2.014 6.461 0.000
2.573 2.232 8.808
Cs Tb Mg Cl
1 1 2 8
direct
0.000 0.000 0.000
0.000 0.000 0.500
0.461 0.452 0.210
0.539 0.548 0.790
0.184 0.710 0.725
0.257 0.775 0.302
0.281 0.233 0.444
0.390 0.301 0.032
0.610 0.699 0.968
0.719 0.767 0.556
0.743 0.225 0.698
0.816 0.290 0.275
```

Most intense lines, 10° ≤ 2θ ≤ 90°, low angle first:
- 14.2 deg, d = 6.244 Å, rel. 96.5
- 17.6 deg, d = 5.042 Å, rel. 100.0
- 20.2 deg, d = 4.404 Å, rel. 30.3
- 21.6 deg, d = 4.108 Å, rel. 45.5
- 22.3 deg, d = 3.980 Å, rel. 81.2
- 28.9 deg, d = 3.086 Å, rel. 56.7
- 29.9 deg, d = 2.993 Å, rel. 47.7
- 30.7 deg, d = 2.910 Å, rel. 58.2
- 40.7 deg, d = 2.219 Å, rel. 29.9
- 40.9 deg, d = 2.204 Å, rel. 39.3

(6)
Starting from a PBE-relaxed structure, the PXRD pattern of Pm12TmSi7 was calculated for CuKα.

Cell and atoms:
```
Pm12TmSi7
1.0
7.727 4.461 2.845
-7.727 4.461 2.845
0.000 -8.923 2.845
Pm Tm Si
12 1 7
direct
0.008 0.330 0.068
0.068 0.008 0.330
0.202 0.723 0.537
0.277 0.463 0.798
0.330 0.068 0.008
0.463 0.798 0.277
0.537 0.202 0.723
0.670 0.932 0.992
0.723 0.537 0.202
0.798 0.277 0.463
0.932 0.992 0.670
0.992 0.670 0.932
0.500 0.500 0.500
0.000 0.000 0.000
0.107 0.354 0.413
0.354 0.413 0.107
0.413 0.107 0.354
0.587 0.893 0.646
0.646 0.587 0.893
0.893 0.646 0.587
```

Most intense lines, 10° ≤ 2θ ≤ 90°, low angle first:
- 26.2 deg, d = 3.404 Å, rel. 100.0
- 28.7 deg, d = 3.115 Å, rel. 9.4
- 31.4 deg, d = 2.845 Å, rel. 21.0
- 32.0 deg, d = 2.801 Å, rel. 86.9
- 42.2 deg, d = 2.143 Å, rel. 35.2
- 49.3 deg, d = 1.850 Å, rel. 19.2
- 50.3 deg, d = 1.814 Å, rel. 10.4
- 53.5 deg, d = 1.712 Å, rel. 19.5
- 53.9 deg, d = 1.702 Å, rel. 12.8
- 82.2 deg, d = 1.173 Å, rel. 7.6

(7)
Starting from a PBE-relaxed structure, the PXRD pattern of Mg2Cd5Pd2 was calculated for CuKα.

Cell and atoms:
```
Mg2Cd5Pd2
1.0
-7.239 4.706 2.902
7.239 -4.706 2.902
7.239 4.706 -2.902
Mg Cd Pd
4 10 4
direct
0.000 0.000 0.000
0.000 0.500 0.500
0.205 0.961 0.744
0.217 0.461 0.256
0.478 0.104 0.144
0.478 0.323 0.364
0.478 0.615 0.655
0.478 0.834 0.875
0.711 0.470 0.741
0.728 0.970 0.259
0.960 0.115 0.636
0.960 0.334 0.856
0.960 0.604 0.125
0.960 0.823 0.345
0.442 0.536 0.093
0.442 0.849 0.405
0.444 0.036 0.595
0.444 0.349 0.907
```

Most intense lines, 10° ≤ 2θ ≤ 90°, low angle first:
- 18.0 deg, d = 4.940 Å, rel. 45.9
- 24.6 deg, d = 3.619 Å, rel. 44.5
- 30.6 deg, d = 2.920 Å, rel. 23.7
- 30.8 deg, d = 2.902 Å, rel. 21.2
- 31.2 deg, d = 2.869 Å, rel. 54.2
- 36.4 deg, d = 2.470 Å, rel. 57.4
- 37.3 deg, d = 2.413 Å, rel. 28.0
- 38.2 deg, d = 2.353 Å, rel. 56.6
- 38.5 deg, d = 2.338 Å, rel. 35.3
- 44.4 deg, d = 2.040 Å, rel. 100.0

(8)
Starting from a PBE-relaxed structure, the PXRD pattern of Ca2Ge3 was calculated for CuKα.

Cell and atoms:
```
Ca2Ge3
1.0
2.211 -13.734 0.000
2.211 13.734 0.000
0.000 0.000 4.048
Ca Ge
4 6
direct
0.077 0.923 0.750
0.204 0.796 0.250
0.796 0.204 0.750
0.923 0.077 0.250
0.318 0.682 0.250
0.376 0.624 0.750
0.473 0.527 0.750
0.527 0.473 0.250
0.624 0.376 0.250
0.682 0.318 0.750
```

Most intense lines, 10° ≤ 2θ ≤ 90°, low angle first:
- 20.3 deg, d = 4.367 Å, rel. 51.7
- 30.5 deg, d = 2.935 Å, rel. 34.6
- 31.5 deg, d = 2.839 Å, rel. 100.0
- 34.2 deg, d = 2.623 Å, rel. 14.0
- 39.7 deg, d = 2.273 Å, rel. 57.1
- 40.8 deg, d = 2.211 Å, rel. 35.0
- 42.3 deg, d = 2.134 Å, rel. 44.1
- 44.8 deg, d = 2.024 Å, rel. 26.6
- 58.2 deg, d = 1.585 Å, rel. 35.6
- 62.2 deg, d = 1.493 Å, rel. 19.1

(9)
Starting from a PBE-relaxed structure, the PXRD pattern of Ca2ThTcN4 was calculated for CuKα.

Cell and atoms:
```
Ca2ThTcN4
1.0
1.739 -5.820 0.000
1.739 5.820 0.000
0.000 0.000 11.866
Ca Th Tc N
4 2 2 8
direct
0.129 0.871 0.538
0.129 0.871 0.962
0.871 0.129 0.038
0.871 0.129 0.462
0.395 0.605 0.750
0.605 0.395 0.250
0.344 0.656 0.250
0.656 0.344 0.750
0.067 0.933 0.750
0.225 0.775 0.138
0.225 0.775 0.362
0.500 0.500 0.000
0.500 0.500 0.500
0.775 0.225 0.638
0.775 0.225 0.862
0.933 0.067 0.250
```

Most intense lines, 10° ≤ 2θ ≤ 90°, low angle first:
- 14.9 deg, d = 5.933 Å, rel. 94.7
- 17.0 deg, d = 5.225 Å, rel. 19.8
- 26.8 deg, d = 3.332 Å, rel. 22.3
- 30.1 deg, d = 2.966 Å, rel. 41.0
- 30.8 deg, d = 2.906 Å, rel. 100.0
- 35.5 deg, d = 2.530 Å, rel. 39.7
- 37.9 deg, d = 2.373 Å, rel. 42.2
- 40.7 deg, d = 2.215 Å, rel. 21.5
- 43.6 deg, d = 2.077 Å, rel. 22.3
- 49.6 deg, d = 1.839 Å, rel. 24.3

(10)
Starting from a PBE-relaxed structure, the PXRD pattern of Np4Ge16Rh3 was calculated for CuKα.

Cell and atoms:
```
Np4Ge16Rh3
1.0
6.187 0.000 0.000
0.000 6.187 0.000
0.000 0.000 11.186
Np Ge Rh
4 16 3
direct
0.000 0.500 0.188
0.000 0.500 0.812
0.500 0.000 0.188
0.500 0.000 0.812
0.000 0.000 0.208
0.000 0.000 0.792
0.216 0.216 0.000
0.216 0.784 0.000
0.248 0.248 0.376
0.248 0.248 0.624
0.248 0.752 0.376
0.248 0.752 0.624
0.500 0.500 0.230
0.500 0.500 0.770
0.752 0.248 0.376
0.752 0.248 0.624
0.752 0.752 0.376
0.752 0.752 0.624
0.784 0.216 0.000
0.784 0.784 0.000
0.000 0.500 0.500
0.500 0.000 0.500
0.500 0.500 0.000
```

Most intense lines, 10° ≤ 2θ ≤ 90°, low angle first:
- 20.3 deg, d = 4.375 Å, rel. 35.9
- 31.5 deg, d = 2.838 Å, rel. 50.9
- 33.1 deg, d = 2.707 Å, rel. 34.4
- 37.8 deg, d = 2.381 Å, rel. 100.0
- 40.3 deg, d = 2.237 Å, rel. 18.8
- 41.3 deg, d = 2.188 Å, rel. 67.8
- 52.8 deg, d = 1.733 Å, rel. 22.1
- 59.1 deg, d = 1.564 Å, rel. 23.1
- 59.8 deg, d = 1.547 Å, rel. 21.8
- 72.9 deg, d = 1.297 Å, rel. 26.3

(11)
Starting from a PBE-relaxed structure, the PXRD pattern of MnTeSe2 was calculated for CuKα.

Cell and atoms:
```
MnTeSe2
1.0
5.129 0.000 0.000
0.000 3.447 0.000
-1.577 0.000 5.251
Mn Te Se
1 1 2
direct
0.000 0.000 0.000
0.000 0.000 0.500
0.356 0.500 0.152
0.644 0.500 0.848
```

Most intense lines, 10° ≤ 2θ ≤ 90°, low angle first:
- 18.1 deg, d = 4.912 Å, rel. 17.6
- 28.2 deg, d = 3.162 Å, rel. 44.8
- 31.0 deg, d = 2.882 Å, rel. 34.6
- 31.7 deg, d = 2.822 Å, rel. 100.0
- 33.8 deg, d = 2.655 Å, rel. 59.5
- 35.6 deg, d = 2.520 Å, rel. 21.8
- 43.3 deg, d = 2.089 Å, rel. 29.0
- 45.3 deg, d = 2.000 Å, rel. 22.1
- 50.5 deg, d = 1.808 Å, rel. 33.3
- 51.3 deg, d = 1.781 Å, rel. 22.7

(12)
Starting from a PBE-relaxed structure, the PXRD pattern of Pr2DyHoS5 was calculated for CuKα.

Cell and atoms:
```
Pr2DyHoS5
1.0
4.878 0.000 0.000
0.000 4.878 0.000
0.000 0.000 10.287
Pr Dy Ho S
2 1 1 5
direct
0.000 0.000 0.207
0.000 0.000 0.793
0.500 0.500 0.500
0.500 0.500 0.000
0.000 0.000 0.500
0.000 0.500 0.000
0.500 0.000 0.000
0.500 0.500 0.255
0.500 0.500 0.745
```

Most intense lines, 10° ≤ 2θ ≤ 90°, low angle first:
- 25.2 deg, d = 3.539 Å, rel. 100.0
- 25.8 deg, d = 3.449 Å, rel. 90.6
- 31.9 deg, d = 2.805 Å, rel. 15.8
- 34.9 deg, d = 2.572 Å, rel. 19.5
- 36.9 deg, d = 2.439 Å, rel. 51.5
- 43.9 deg, d = 2.061 Å, rel. 27.7
- 45.1 deg, d = 2.008 Å, rel. 43.9
- 51.7 deg, d = 1.769 Å, rel. 26.7
- 53.1 deg, d = 1.725 Å, rel. 17.6
- 60.0 deg, d = 1.542 Å, rel. 18.3